# 1
Structure and computed powder X-ray diffraction pattern of DySc4Rh5 (a cell relaxed with GGA-PBE; Cu Kα (weighted mean of Kα1 and Kα2)).
Kinematic intensities with the Lorentz-polarization factor, no thermal factor.

Unit cell a=3.224 b=3.224 c=16.789 alpha=90.00 beta=90.00 gamma=90.00
Element x y z (fractional)
Dy (0.000, 0.000, 0.000)
Sc (0.000, 0.000, 0.207)
Sc (0.000, 0.000, 0.402)
Sc (0.000, 0.000, 0.598)
Sc (0.000, 0.000, 0.793)
Rh (0.500, 0.500, 0.112)
Rh (0.500, 0.500, 0.306)
Rh (0.500, 0.500, 0.500)
Rh (0.500, 0.500, 0.694)
Rh (0.500, 0.500, 0.888)

Top 10 peaks for 10° ≤ 2θ ≤ 90°, in order of rising 2θ:
| d [Å] | two_theta | I/Imax |
| --- | --- | --- |
| 3.224 | 27.67 | 6 |
| 2.795 | 32.02 | 8 |
| 2.557 | 35.10 | 7 |
| 2.326 | 38.72 | 100 |
| 2.280 | 39.53 | 49 |
| 1.679 | 54.67 | 8 |
| 1.612 | 57.14 | 16 |
| 1.352 | 69.54 | 15 |
| 1.325 | 71.17 | 31 |
| 1.163 | 83.06 | 9 |

# 2
Structure and computed powder X-ray diffraction pattern of Dy2Sc2Rh3 (a cell relaxed with GGA-PBE; Cu Kα (weighted mean of Kα1 and Kα2)).
Kinematic intensities with the Lorentz-polarization factor, no thermal factor.

Unit cell a=8.359 b=8.359 c=8.359 alpha=31.98 beta=31.98 gamma=31.98
Element x y z (fractional)
Dy (0.122, 0.122, 0.122)
Dy (0.878, 0.878, 0.878)
Sc (0.372, 0.372, 0.372)
Sc (0.628, 0.628, 0.628)
Rh (0.000, 0.000, 0.000)
Rh (0.256, 0.256, 0.256)
Rh (0.744, 0.744, 0.744)

Top 10 peaks for 10° ≤ 2θ ≤ 90°, in order of rising 2θ:
| d [Å] | two_theta | I/Imax |
| --- | --- | --- |
| 3.934 | 22.60 | 51 |
| 2.586 | 34.69 | 21 |
| 2.383 | 37.75 | 100 |
| 2.303 | 39.12 | 93 |
| 1.988 | 45.62 | 12 |
| 1.656 | 55.49 | 32 |
| 1.392 | 67.24 | 16 |
| 1.344 | 69.98 | 32 |
| 1.330 | 70.88 | 16 |
| 1.151 | 84.07 | 10 |

# 3
Structure and computed powder X-ray diffraction pattern of Dy3RhSe2 (a cell relaxed with GGA-PBE; Cu Kα (weighted mean of Kα1 and Kα2)).
Kinematic intensities with the Lorentz-polarization factor, no thermal factor.

Unit cell a=9.159 b=9.159 c=9.159 alpha=154.28 beta=154.28 gamma=36.69
Element x y z (fractional)
Dy (0.000, 0.000, 0.000)
Dy (0.346, 0.346, 0.000)
Dy (0.654, 0.654, 0.000)
Rh (0.500, 0.500, 0.000)
Se (0.175, 0.175, 0.000)
Se (0.825, 0.825, 0.000)

Top 10 peaks for 10° ≤ 2θ ≤ 90°, in order of rising 2θ:
| d [Å] | two_theta | I/Imax |
| --- | --- | --- |
| 3.334 | 26.74 | 22 |
| 2.898 | 30.85 | 45 |
| 2.883 | 31.02 | 100 |
| 2.044 | 44.32 | 66 |
| 2.038 | 44.45 | 37 |
| 1.667 | 55.08 | 35 |
| 1.441 | 64.67 | 12 |
| 1.295 | 73.09 | 10 |
| 1.290 | 73.41 | 31 |
| 1.178 | 81.77 | 22 |